1.
Starting from a cell relaxed with GGA+U, the XRD peak list of LiFePO4 was calculated for Cu Kα (λ = 1.5418 Å).
Kinematic intensities with the Lorentz-polarization factor, no thermal factor.

Top 10 peaks for 10° ≤ 2θ ≤ 90°, in order of rising 2θ:
2θ/deg, intensity
20.16, 92
24.26, 44
24.91, 44
32.85, 56
33.36, 100
34.33, 42
34.80, 40
35.28, 42
36.23, 39
57.71, 36

Cell lengths 5.4037, 5.4037, 12.7387 Å; angles 93.09, 93.09, 54.63 degrees
Element x y z (fractional)
Li 0.1779 0.1775 0.1240
Li 0.1780 0.1780 0.6241
Li 0.8220 0.8220 0.3759
Li 0.8225 0.8221 0.8760
Fe 0.5169 0.4814 0.2497
Fe 0.5186 0.4831 0.7503
Fe 0.5404 0.4596 0.5000
Fe 0.5415 0.4585 0.0000
P 0.1822 0.1924 0.3720
P 0.1833 0.1914 0.8719
P 0.8076 0.8178 0.6280
P 0.8086 0.8167 0.1281
O 0.1551 0.5622 0.6327
O 0.1570 0.5616 0.1332
O 0.3025 0.4026 0.3791
O 0.3036 0.4012 0.8797
O 0.4384 0.8430 0.8668
O 0.4378 0.8449 0.3673
O 0.5974 0.6975 0.6209
O 0.5988 0.6964 0.1203
O 0.7136 0.0162 0.7294
O 0.7151 0.0132 0.2297
O 0.7314 0.0035 0.5290
O 0.7333 0.0019 0.0291
O 0.9838 0.2864 0.2706
O 0.9868 0.2849 0.7703
O 0.9965 0.2686 0.4710
O 0.9981 0.2667 0.9709


2.
Starting from a cell relaxed with GGA+U, the XRD peak list of Li5Fe2P5O18 was calculated for Cu Kα (λ = 1.5418 Å).
Kinematic intensities with the Lorentz-polarization factor, no thermal factor.

Top 10 peaks for 10° ≤ 2θ ≤ 90°, in order of rising 2θ:
2θ/deg, intensity
12.03, 79
16.41, 47
18.62, 68
20.12, 100
26.95, 99
27.43, 64
28.08, 68
28.28, 57
28.90, 87
32.02, 50

Cell lengths 6.5136, 9.3027, 10.6380 Å; angles 96.06, 92.98, 91.16 degrees
Element x y z (fractional)
Li 0.0150 0.4423 0.1283
Li 0.1244 0.7162 0.6601
Li 0.1730 0.3707 0.6429
Li 0.3445 0.8721 0.8654
Li 0.4451 0.2211 0.4096
Li 0.5549 0.7789 0.5904
Li 0.6555 0.1279 0.1346
Li 0.8270 0.6293 0.3571
Li 0.8756 0.2838 0.3399
Li 0.9850 0.5577 0.8717
Fe 0.2322 0.8563 0.4039
Fe 0.3314 0.2681 0.9454
Fe 0.6686 0.7319 0.0546
Fe 0.7678 0.1437 0.5961
P 0.1665 0.0810 0.1737
P 0.1705 0.7691 0.1053
P 0.2224 0.5098 0.4023
P 0.2787 0.0825 0.6506
P 0.4863 0.5521 0.7997
P 0.5137 0.4479 0.2003
P 0.7213 0.9175 0.3494
P 0.7776 0.4902 0.5977
P 0.8295 0.2309 0.8947
P 0.8335 0.9190 0.8263
O 0.0130 0.3298 0.9492
O 0.0161 0.8218 0.8173
O 0.0291 0.4839 0.3134
O 0.0779 0.9263 0.1041
O 0.0797 0.1619 0.6161
O 0.2217 0.6590 0.4827
O 0.2352 0.7465 0.2397
O 0.2508 0.9202 0.5969
O 0.2633 0.3823 0.4761
O 0.2645 0.0505 0.3042
O 0.3219 0.1017 0.7974
O 0.3270 0.1242 0.0805
O 0.3271 0.4373 0.8327
O 0.3376 0.4201 0.0972
O 0.3574 0.7563 0.0225
O 0.3927 0.6874 0.7551
O 0.4196 0.5298 0.3213
O 0.4580 0.1477 0.5824
O 0.5420 0.8523 0.4176
O 0.5804 0.4702 0.6787
O 0.6073 0.3126 0.2449
O 0.6426 0.2437 0.9775
O 0.6624 0.5799 0.9028
O 0.6729 0.5627 0.1673
O 0.6730 0.8758 0.9195
O 0.6781 0.8983 0.2026
O 0.7355 0.9495 0.6958
O 0.7367 0.6177 0.5239
O 0.7492 0.0798 0.4031
O 0.7648 0.2535 0.7603
O 0.7783 0.3410 0.5173
O 0.9203 0.8381 0.3839
O 0.9221 0.0737 0.8959
O 0.9709 0.5161 0.6866
O 0.9839 0.1782 0.1827
O 0.9870 0.6702 0.0508


3.
Starting from a cell relaxed with GGA+U, the XRD peak list of LiFe2P2O8 was calculated for Cu Kα (λ = 1.5418 Å).
Kinematic intensities with the Lorentz-polarization factor, no thermal factor.

Top 10 peaks for 10° ≤ 2θ ≤ 90°, in order of rising 2θ:
2θ/deg, intensity
15.44, 51
21.54, 100
23.08, 63
23.21, 25
29.18, 35
31.17, 36
34.68, 34
35.09, 21
47.49, 16
60.51, 15

Cell lengths 5.1739, 10.2304, 6.9339 Å; angles 90.00, 90.39, 90.00 degrees
Element x y z (fractional)
Li 0.0498 0.0000 0.2507
Li 0.9502 0.5000 0.7493
Fe 0.0545 0.9515 0.7436
Fe 0.4523 0.2960 0.7325
Fe 0.5477 0.7960 0.2675
Fe 0.9455 0.4515 0.2564
P 0.0449 0.7201 0.0167
P 0.4448 0.5359 0.4816
P 0.5552 0.0359 0.5184
P 0.9551 0.2201 0.9833
O 0.0093 0.0724 0.9764
O 0.0294 0.2699 0.1835
O 0.1027 0.2975 0.8189
O 0.1517 0.5055 0.4967
O 0.3357 0.7493 0.0597
O 0.4270 0.9717 0.3324
O 0.4365 0.9788 0.7011
O 0.4928 0.6867 0.4853
O 0.5072 0.1867 0.5147
O 0.5635 0.4788 0.2989
O 0.5730 0.4717 0.6676
O 0.6643 0.2493 0.9403
O 0.8483 0.0055 0.5033
O 0.8973 0.7975 0.1811
O 0.9706 0.7699 0.8165
O 0.9907 0.5724 0.0236


4.
Starting from a cell relaxed with GGA+U, the XRD peak list of LiFePO4 was calculated for Cu Kα (λ = 1.5418 Å).
Kinematic intensities with the Lorentz-polarization factor, no thermal factor.

Top 10 peaks for 10° ≤ 2θ ≤ 90°, in order of rising 2θ:
2θ/deg, intensity
15.83, 26
18.60, 56
22.65, 74
24.54, 23
29.48, 49
33.37, 100
44.46, 29
47.76, 20
49.59, 32
59.00, 22

Cell lengths 4.7635, 6.9154, 9.5412 Å; angles 90.00, 90.00, 90.00 degrees
Element x y z (fractional)
Li 0.0079 0.0949 0.0321
Li 0.4921 0.9051 0.5321
Li 0.5079 0.4051 0.9679
Li 0.9921 0.5949 0.4679
Fe 0.0443 0.2316 0.6859
Fe 0.4557 0.7684 0.1859
Fe 0.5443 0.2684 0.3141
Fe 0.9557 0.7316 0.8141
P 0.0937 0.0031 0.3461
P 0.4063 0.9969 0.8461
P 0.5937 0.4969 0.6539
P 0.9063 0.5031 0.1539
O 0.2132 0.1688 0.4402
O 0.2155 0.8046 0.3935
O 0.2303 0.5033 0.1576
O 0.2344 0.0350 0.1987
O 0.2656 0.9650 0.6987
O 0.2697 0.4967 0.6576
O 0.2845 0.1954 0.8935
O 0.2868 0.8312 0.9402
O 0.7132 0.3312 0.5598
O 0.7155 0.6954 0.6065
O 0.7303 0.9967 0.8424
O 0.7344 0.4650 0.8013
O 0.7656 0.5350 0.3013
O 0.7697 0.0033 0.3424
O 0.7845 0.3046 0.1065
O 0.7868 0.6688 0.0598